Record 1
Structure and simulated X-ray diffraction stick pattern of Li7Mn2Co3O12 (DFT lattice parameters and positions (GGA+U); Cu Ka).

Cell lengths 5.0942, 5.8498, 7.6681 Å; angles 79.23, 77.52, 73.56 degrees
Fractional positions:
1 Li 0.0000 0.0000 0.0000
2 Li 0.0005 0.1723 0.3227
3 Li 0.0044 0.6643 0.3250
4 Li 0.0063 0.4929 0.0018
5 Li 0.5000 0.3303 0.1594
6 Li 0.9898 0.3395 0.6610
7 Li 0.9957 0.8402 0.6570
8 Mn 0.4993 0.6660 0.8303
9 Mn 0.5010 0.8337 0.1594
10 Co 0.4947 0.0155 0.4853
11 Co 0.5000 0.1697 0.8299
12 Co 0.5000 0.4984 0.4880
13 O 0.2568 0.3213 0.4261
14 O 0.2674 0.5250 0.7394
15 O 0.2667 0.8358 0.3930
16 O 0.2812 0.1438 0.0692
17 O 0.2808 0.6731 0.0692
18 O 0.2845 0.9934 0.7545
19 O 0.7163 0.6865 0.5885
20 O 0.7184 0.3448 0.8981
21 O 0.7252 0.5192 0.2546
22 O 0.7260 0.1731 0.5886
23 O 0.7265 0.9850 0.2424
24 O 0.7316 0.8118 0.9236

Most intense lines, 10° ≤ 2θ ≤ 90°, by angle:
2θ (°), Rel. int.
11.93, 8.1
18.44, 100.0
35.99, 15.3
36.15, 12.8
36.33, 12.4
43.59, 28.5
43.82, 28.1
43.97, 27.7
47.85, 8.2
63.29, 7.5
63.42, 14.8
63.63, 7.5


Record 2
Structure and simulated X-ray diffraction stick pattern of Li7Mn2Co3O12 (DFT lattice parameters and positions (GGA+U); Cu Ka).

Cell lengths 7.7808, 7.7808, 11.9463 Å; angles 124.66, 124.66, 21.41 degrees
Fractional positions:
1 Li 0.0000 0.0000 0.0000
2 Li 0.9997 0.9997 0.2428
3 Li 0.0003 0.0003 0.7512
4 Li 0.3279 0.3279 0.2385
5 Li 0.3425 0.3425 0.7666
6 Li 0.6530 0.6530 0.2321
7 Li 0.6722 0.6722 0.7542
8 Mn 0.3285 0.3285 0.4916
9 Mn 0.3390 0.3390 0.0048
10 Co 0.0024 0.0024 0.5011
11 Co 0.6533 0.6533 0.9921
12 Co 0.6617 0.6617 0.5003
13 O 0.1671 0.1671 0.1142
14 O 0.1722 0.1722 0.6230
15 O 0.1746 0.1746 0.3866
16 O 0.1763 0.1763 0.8898
17 O 0.4856 0.4856 0.6035
18 O 0.4877 0.4877 0.1172
19 O 0.5026 0.5026 0.8704
20 O 0.5079 0.5079 0.3884
21 O 0.8284 0.8284 0.6013
22 O 0.8286 0.8286 0.3824
23 O 0.8325 0.8325 0.1110
24 O 0.8333 0.8333 0.8917

Most intense lines, 10° ≤ 2θ ≤ 90°, by angle:
2θ (°), Rel. int.
11.61, 7.9
18.21, 100.0
35.85, 14.7
36.22, 24.8
43.57, 84.2
47.87, 8.4
57.19, 9.7
62.16, 7.8
63.09, 14.4
63.52, 14.4
64.48, 7.7
81.04, 6.9


Record 3
Structure and simulated X-ray diffraction stick pattern of Li7Mn4CoO12 (DFT lattice parameters and positions (GGA+U); Cu Ka).

Cell lengths 5.7991, 5.8465, 7.5970 Å; angles 68.26, 79.15, 60.41 degrees
Fractional positions:
1 Li 0.0000 0.0000 0.0000
2 Li 0.0000 0.5000 0.0000
3 Li 0.1638 0.0171 0.3219
4 Li 0.3400 0.9893 0.6743
5 Li 0.5000 0.0000 0.0000
6 Li 0.6600 0.0107 0.3257
7 Li 0.8362 0.9829 0.6782
8 Mn 0.1661 0.5008 0.3273
9 Mn 0.3303 0.4971 0.6737
10 Mn 0.6697 0.5029 0.3263
11 Mn 0.8339 0.4992 0.6727
12 Co 0.5000 0.5000 0.0000
13 O 0.0220 0.7191 0.5096
14 O 0.1700 0.2672 0.8152
15 O 0.1930 0.7237 0.8311
16 O 0.3313 0.2779 0.1683
17 O 0.3517 0.7253 0.1689
18 O 0.4938 0.2805 0.4954
19 O 0.5062 0.7195 0.5046
20 O 0.6483 0.2747 0.8311
21 O 0.6687 0.7221 0.8317
22 O 0.8070 0.2763 0.1689
23 O 0.8300 0.7328 0.1848
24 O 0.9780 0.2809 0.4904

Most intense lines, 10° ≤ 2θ ≤ 90°, by angle:
2θ (°), Rel. int.
18.45, 100.0
36.40, 25.9
36.67, 11.9
44.00, 56.3
44.27, 27.6
48.24, 7.4
57.93, 9.4
63.53, 7.4
63.69, 14.7
64.25, 8.0
64.69, 7.2
64.85, 7.5


Record 4
Structure and simulated X-ray diffraction stick pattern of Li4MnCo2O7 (DFT lattice parameters and positions (GGA+U); Cu Ka).

Cell lengths 16.6849, 16.6849, 5.0776 Å; angles 92.50, 92.50, 9.94 degrees
Fractional positions:
1 Li 0.0000 0.0000 0.0000
2 Li 0.0697 0.0697 0.3531
3 Li 0.2148 0.2148 0.0714
4 Li 0.3559 0.3559 0.7788
5 Li 0.5000 0.5000 0.5000
6 Li 0.6441 0.6441 0.2212
7 Li 0.7852 0.7852 0.9286
8 Li 0.9303 0.9303 0.6469
9 Mn 0.4301 0.4301 0.1287
10 Mn 0.5699 0.5699 0.8713
11 Co 0.1443 0.1443 0.7117
12 Co 0.2848 0.2848 0.4310
13 Co 0.7152 0.7152 0.5690
14 Co 0.8557 0.8557 0.2883
15 O 0.0404 0.0404 0.6986
16 O 0.1053 0.1053 0.0187
17 O 0.1826 0.1826 0.4113
18 O 0.2482 0.2482 0.7162
19 O 0.3201 0.3201 0.1316
20 O 0.3905 0.3905 0.4335
21 O 0.4607 0.4607 0.8408
22 O 0.5393 0.5393 0.1592
23 O 0.6095 0.6095 0.5665
24 O 0.6799 0.6799 0.8684
25 O 0.7518 0.7518 0.2838
26 O 0.8174 0.8174 0.5887
27 O 0.8947 0.8947 0.9813
28 O 0.9596 0.9596 0.3014

Most intense lines, 10° ≤ 2θ ≤ 90°, by angle:
2θ (°), Rel. int.
10.65, 5.2
18.51, 100.0
36.35, 38.2
37.99, 10.4
44.01, 80.8
48.13, 11.9
58.03, 14.1
63.69, 21.2
64.25, 14.1
64.43, 7.4
67.50, 8.9
81.30, 6.5


Record 5
Structure and simulated X-ray diffraction stick pattern of Li3Mn2Co2O8 (DFT lattice parameters and positions (GGA+U); Cu Ka).

Cell lengths 2.9608, 4.9638, 10.0267 Å; angles 95.47, 95.81, 92.67 degrees
Fractional positions:
1 Li 0.0000 0.0000 0.0000
2 Li 0.1397 0.8007 0.4742
3 Li 0.4999 0.5058 0.0015
4 Mn 0.0600 0.3936 0.2400
5 Mn 0.5814 0.3835 0.7302
6 Co 0.0851 0.8839 0.7406
7 Co 0.5560 0.8952 0.2336
8 O 0.0481 0.5402 0.6357
9 O 0.0613 0.0808 0.3359
10 O 0.0697 0.6841 0.1178
11 O 0.1218 0.2430 0.8400
12 O 0.5529 0.0190 0.6392
13 O 0.5658 0.1874 0.1176
14 O 0.5668 0.6097 0.3456
15 O 0.6113 0.7398 0.8415

Most intense lines, 10° ≤ 2θ ≤ 90°, by angle:
2θ (°), Rel. int.
17.87, 100.0
35.44, 9.6
36.19, 15.2
36.30, 7.0
36.42, 7.2
38.85, 7.7
39.11, 7.3
42.56, 19.1
43.48, 12.5
45.32, 7.5
49.07, 7.8
49.41, 7.7


Record 6
Structure and simulated X-ray diffraction stick pattern of Li7Mn2Co3O12 (DFT lattice parameters and positions (GGA+U); Cu Ka).

Cell lengths 5.1575, 5.8851, 7.6054 Å; angles 100.05, 96.71, 107.44 degrees
Fractional positions:
1 Li 0.0000 0.0000 0.0000
2 Li 0.4884 0.4086 0.1568
3 Li 0.4969 0.9174 0.1605
4 Li 0.4991 0.2461 0.4989
5 Li 0.5009 0.7539 0.5011
6 Li 0.5031 0.0826 0.8395
7 Li 0.5116 0.5914 0.8432
8 Mn 0.0008 0.3339 0.3308
9 Mn 0.9992 0.6661 0.6692
10 Co 0.0000 0.5000 0.0000
11 Co 0.0135 0.1635 0.6826
12 Co 0.9865 0.8365 0.3174
13 O 0.2192 0.4615 0.5751
14 O 0.2225 0.6118 0.2443
15 O 0.2217 0.7638 0.9090
16 O 0.2235 0.9350 0.5806
17 O 0.2295 0.1423 0.2632
18 O 0.2451 0.2837 0.9014
19 O 0.7549 0.7163 0.0986
20 O 0.7705 0.8577 0.7368
21 O 0.7765 0.0650 0.4194
22 O 0.7783 0.2362 0.0910
23 O 0.7775 0.3882 0.7557
24 O 0.7808 0.5385 0.4249

Most intense lines, 10° ≤ 2θ ≤ 90°, by angle:
2θ (°), Rel. int.
18.33, 100.0
35.57, 14.6
36.30, 13.3
36.60, 11.5
42.95, 30.5
43.91, 28.0
44.27, 26.4
47.77, 12.4
63.01, 15.0
63.22, 7.7
63.32, 7.8
63.72, 7.6


Record 7
Structure and simulated X-ray diffraction stick pattern of Li5MnCo2O8 (DFT lattice parameters and positions (GGA+U); Cu Ka).

Cell lengths 4.9630, 5.0886, 5.8356 Å; angles 72.82, 89.85, 80.57 degrees
Fractional positions:
1 Li 0.0000 0.0000 0.0000
2 Li 0.0037 0.0070 0.5092
3 Li 0.5110 0.9861 0.7508
4 Li 0.5168 0.9832 0.2602
5 Li 0.7574 0.4943 0.6277
6 Mn 0.2574 0.4940 0.8788
7 Co 0.2573 0.4940 0.3905
8 Co 0.7577 0.4914 0.1260
9 O 0.1184 0.2673 0.1766
10 O 0.1530 0.2601 0.7040
11 O 0.3609 0.7309 0.5822
12 O 0.3987 0.7154 0.0645
13 O 0.6201 0.2758 0.9525
14 O 0.6258 0.2709 0.4119
15 O 0.8905 0.7072 0.2997
16 O 0.8934 0.7150 0.8414

Most intense lines, 10° ≤ 2θ ≤ 90°, by angle:
2θ (°), Rel. int.
15.91, 14.9
18.14, 8.7
18.52, 100.0
23.64, 12.1
36.16, 13.2
36.35, 12.5
36.76, 12.3
43.74, 30.0
44.14, 29.5
44.38, 29.0
63.85, 15.5
64.69, 8.6


Record 8
Structure and simulated X-ray diffraction stick pattern of Li5MnCo2O8 (DFT lattice parameters and positions (GGA+U); Cu Ka).

Cell lengths 5.1166, 5.6699, 5.8374 Å; angles 61.01, 70.92, 89.96 degrees
Fractional positions:
1 Li 0.0000 0.0000 0.0000
2 Li 0.4784 0.2521 0.9897
3 Li 0.4987 0.2407 0.5088
4 Li 0.5013 0.7593 0.4912
5 Li 0.5216 0.7479 0.0103
6 Mn 0.0000 0.5000 0.5000
7 Co 0.0000 0.0000 0.5000
8 Co 0.0000 0.5000 0.0000
9 O 0.2032 0.8656 0.7391
10 O 0.2138 0.3912 0.7452
11 O 0.2300 0.8668 0.2728
12 O 0.2409 0.3602 0.2804
13 O 0.7591 0.6398 0.7196
14 O 0.7700 0.1332 0.7272
15 O 0.7862 0.6088 0.2548
16 O 0.7968 0.1344 0.2609

Most intense lines, 10° ≤ 2θ ≤ 90°, by angle:
2θ (°), Rel. int.
18.24, 19.0
18.70, 100.0
23.54, 10.6
35.48, 12.0
36.95, 24.1
42.70, 27.9
45.02, 49.6
48.16, 6.7
59.39, 8.7
63.75, 20.3
63.87, 6.9
65.89, 6.6